[1]
Structure and computed X-ray diffraction stick pattern of Cu4Ag (a GGA-PBE-relaxed structure; Cu Kα X-rays).
Intensities are scaled so that the largest is 100.

Main lines, in order of rising 2θ (10° ≤ 2θ ≤ 80°):
d = 5.350 Å, 16.57°, I = 3
d = 2.991 Å, 29.88°, I = 3
d = 2.171 Å, 41.60°, I = 100
d = 2.158 Å, 41.86°, I = 49
d = 2.140 Å, 42.23°, I = 47
d = 1.883 Å, 48.33°, I = 63
d = 1.846 Å, 49.37°, I = 29
d = 1.342 Å, 70.12°, I = 10
d = 1.322 Å, 71.34°, I = 27
d = 1.314 Å, 71.84°, I = 17

```
Cu4Ag
1.0
4.5599 0.0000 0.0000
0.0000 2.6840 0.0000
-1.3652 0.0000 10.6991
Cu Ag
8 2
direct
0.0476 0.2500 0.4067
0.2615 0.2500 0.9945
0.3482 0.7500 0.7958
0.4431 0.2500 0.5955
0.5569 0.7500 0.4045
0.6518 0.2500 0.2042
0.7385 0.7500 0.0055
0.9524 0.7500 0.5933
0.1524 0.7500 0.2007
0.8476 0.2500 0.7993
```

[2]
Structure and computed X-ray diffraction stick pattern of DyHoCo2B2C2 (a GGA-PBE-relaxed structure; Cu Kα X-rays).
Intensities are scaled so that the largest is 100.

Main lines, in order of rising 2θ (10° ≤ 2θ ≤ 80°):
d = 3.212 Å, 27.78°, I = 100
d = 2.596 Å, 34.55°, I = 71
d = 2.546 Å, 35.26°, I = 46
d = 2.503 Å, 35.87°, I = 23
d = 2.379 Å, 37.82°, I = 61
d = 2.093 Å, 43.22°, I = 44
d = 1.770 Å, 51.64°, I = 34
d = 1.550 Å, 59.64°, I = 26
d = 1.462 Å, 63.62°, I = 25
d = 1.453 Å, 64.07°, I = 31

```
DyHoCo2B2C2
1.0
3.5402 0.0000 0.0000
0.0000 3.5402 0.0000
0.0000 0.0000 7.6366
Dy Ho Co B C
1 1 2 2 2
direct
0.0000 0.0000 0.0000
0.5000 0.5000 0.6675
0.0000 0.5000 0.3337
0.5000 0.0000 0.3337
0.0000 0.0000 0.4838
0.5000 0.5000 0.1828
0.0000 0.0000 0.6812
0.5000 0.5000 0.9852
```

[3]
Structure and computed X-ray diffraction stick pattern of Nd3Cu2Si4Pd2 (a GGA-PBE-relaxed structure; Cu Kα X-rays).
Intensities are scaled so that the largest is 100.

Main lines, in order of rising 2θ (10° ≤ 2θ ≤ 80°):
d = 3.731 Å, 23.85°, I = 20
d = 3.152 Å, 28.31°, I = 18
d = 2.664 Å, 33.65°, I = 35
d = 2.651 Å, 33.81°, I = 100
d = 2.278 Å, 39.56°, I = 22
d = 2.100 Å, 43.08°, I = 22
d = 2.064 Å, 43.86°, I = 21
d = 1.649 Å, 55.75°, I = 16
d = 1.472 Å, 63.17°, I = 14
d = 1.354 Å, 69.39°, I = 14

```
Nd3Cu2Si4Pd2
1.0
-2.0641 2.0995 12.2025
2.0641 -2.0995 12.2025
2.0641 2.0995 -12.2025
Nd Cu Si Pd
3 2 4 2
direct
0.0000 0.0000 0.0000
0.3479 0.8479 0.5000
0.6521 0.1521 0.5000
0.2494 0.2494 0.0000
0.7506 0.7506 0.0000
0.1977 0.6977 0.5000
0.4512 0.4512 0.0000
0.5488 0.5488 0.0000
0.8023 0.3023 0.5000
0.0977 0.5977 0.5000
0.9023 0.4023 0.5000
```

[4]
Structure and computed X-ray diffraction stick pattern of Mg3Ag (a GGA-PBE-relaxed structure; Cu Kα X-rays).
Intensities are scaled so that the largest is 100.

Main lines, in order of rising 2θ (10° ≤ 2θ ≤ 80°):
d = 4.273 Å, 20.79°, I = 41
d = 4.089 Å, 21.74°, I = 31
d = 3.688 Å, 24.13°, I = 100
d = 2.361 Å, 38.12°, I = 77
d = 2.337 Å, 38.52°, I = 92
d = 2.066 Å, 43.81°, I = 39
d = 1.988 Å, 45.63°, I = 20
d = 1.661 Å, 55.31°, I = 26
d = 1.520 Å, 60.93°, I = 20
d = 1.358 Å, 69.16°, I = 22

```
Mg3Ag
1.0
8.1775 0.0000 0.0000
-4.0887 7.0819 0.0000
0.0000 0.0000 8.5458
Mg Ag
18 6
direct
0.0000 0.0000 0.0000
0.0000 0.0000 0.5000
0.0000 0.2807 0.7507
0.0000 0.3748 0.0917
0.0000 0.6252 0.5917
0.0000 0.7193 0.2507
0.2807 0.0000 0.7507
0.2807 0.2807 0.2507
0.3333 0.6667 0.3601
0.3333 0.6667 0.8601
0.3748 0.0000 0.0917
0.3748 0.3748 0.5917
0.6252 0.0000 0.5917
0.6252 0.6252 0.0917
0.6667 0.3333 0.3601
0.6667 0.3333 0.8601
0.7193 0.0000 0.2507
0.7193 0.7193 0.7507
0.0000 0.3288 0.4220
0.0000 0.6712 0.9220
0.3288 0.0000 0.4220
0.3288 0.3288 0.9220
0.6712 0.0000 0.9220
0.6712 0.6712 0.4220
```

[5]
Structure and computed X-ray diffraction stick pattern of Li7Au2 (a GGA-PBE-relaxed structure; Cu Kα X-rays).
Intensities are scaled so that the largest is 100.

Main lines, in order of rising 2θ (10° ≤ 2θ ≤ 80°):
d = 4.002 Å, 22.22°, I = 31
d = 3.831 Å, 23.22°, I = 22
d = 3.455 Å, 25.78°, I = 100
d = 2.767 Å, 32.35°, I = 21
d = 2.212 Å, 40.80°, I = 26
d = 2.189 Å, 41.24°, I = 33
d = 1.936 Å, 46.94°, I = 27
d = 1.863 Å, 48.89°, I = 18
d = 1.425 Å, 65.51°, I = 15
d = 1.273 Å, 74.57°, I = 12

```
Li7Au2
1.0
4.4235 0.0000 0.0000
-2.2118 3.8309 0.0000
0.0000 0.0000 8.0031
Li Au
7 2
direct
0.0000 0.0000 0.0000
0.0000 0.0000 0.3240
0.0000 0.0000 0.6760
0.3333 0.6667 0.5718
0.3333 0.6667 0.8979
0.6667 0.3333 0.1021
0.6667 0.3333 0.4282
0.3333 0.6667 0.2340
0.6667 0.3333 0.7660
```

[6]
Structure and computed X-ray diffraction stick pattern of LaPrCl2O2 (a GGA-PBE-relaxed structure; Cu Kα X-rays).
Intensities are scaled so that the largest is 100.

Main lines, in order of rising 2θ (10° ≤ 2θ ≤ 80°):
d = 6.855 Å, 12.91°, I = 35
d = 3.516 Å, 25.33°, I = 93
d = 2.896 Å, 30.88°, I = 75
d = 2.629 Å, 34.11°, I = 100
d = 2.212 Å, 40.79°, I = 28
d = 2.048 Å, 44.23°, I = 39
d = 1.794 Å, 50.90°, I = 24
d = 1.769 Å, 51.66°, I = 29
d = 1.615 Å, 57.01°, I = 43
d = 1.581 Å, 58.37°, I = 18

```
LaPrCl2O2
1.0
4.0955 0.0000 0.0000
0.0000 4.0955 0.0000
0.0000 0.0000 6.8552
La Pr Cl O
1 1 2 2
direct
0.0000 0.0000 0.0000
0.5000 0.5000 0.6487
0.0000 0.0000 0.4535
0.5000 0.5000 0.1962
0.0000 0.5000 0.8242
0.5000 0.0000 0.8242
```